(1)
This entry pairs a crystal structure of Tb5Pm3As8 with its simulated XRD peak list. Radiation: CuKα. Structure: a crystal structure in Alexandria, relaxed with GGA-PBE.
Neutral-atom scattering factors, no anomalous dispersion.

The 10 most intense peaks (2θ = 10–90°), in order of rising 2θ:
h k l	d (Å)	2θ (°)	I/Imax
0 0 6	3.410	26.1	21
0 2 4	2.953	30.3	100
2 2 0	2.088	43.3	75
0 2 10	1.781	51.3	10
4 0 4	1.705	53.8	26
0 4 8	1.477	62.9	12
2 0 14	1.355	69.4	4
2 4 4	1.321	71.4	34
6 0 0	1.206	79.5	25
0 0 18	1.137	85.4	3

Structural model:
a b c (Å): 8.3534 8.3534 20.4566
angles (deg): 90.00 90.00 120.00
Space group R-3m (No. 166, hexagonal axes)
Unique sites:
Tb  0.0000  0.0000  0.0000 (multiplicity 3)
Tb  0.0000  0.0000  0.5000 (multiplicity 3)
Tb  0.0000  0.5000  0.0000 (multiplicity 9)
Pm  0.0000  0.5000  0.5000 (multiplicity 9)
As  0.0000  0.0000  0.2521 (multiplicity 6)
As  0.0027  0.5013  0.2513 (multiplicity 18)

---

(2)
This entry pairs a crystal structure of CaTbBr5 with its simulated XRD peak list. Radiation: CuKα. Structure: a crystal structure in Alexandria, relaxed with GGA-PBE.
Neutral-atom scattering factors, no anomalous dispersion.

The 12 most intense peaks (2θ = 10–90°), in order of rising 2θ:
h k l	d (Å)	2θ (°)	I/Imax
1 0 0	8.574	10.3	27
1 0 -1	7.591	11.7	100
0 1 1	3.994	22.3	24
1 1 -2	3.351	26.6	21
1 1 2	3.245	27.5	21
2 0 3	3.009	29.7	29
2 1 0	2.990	29.9	26
1 1 -3	2.963	30.2	33
2 1 -2	2.808	31.9	19
0 0 5	2.763	32.4	15
3 1 0	2.356	38.2	18
0 2 0	2.086	43.4	22

Structural model:
a b c (Å): 8.608 4.172 13.870
angles (deg): 90.00 95.06 90.00
Space group P2_1/m (No. 11)
Unique sites:
Ca  0.089  0.250  0.135 (multiplicity 2)
Tb  0.414  0.750  0.348 (multiplicity 2)
Br  0.084  0.750  0.313 (multiplicity 2)
Br  0.136  0.250  0.926 (multiplicity 2)
Br  0.325  0.250  0.482 (multiplicity 2)
Br  0.346  0.750  0.140 (multiplicity 2)
Br  0.388  0.750  0.703 (multiplicity 2)

---

(3)
This entry pairs a crystal structure of SmTmNp with its simulated XRD peak list. Radiation: CuKα. Structure: a crystal structure in Alexandria, relaxed with GGA-PBE.
Neutral-atom scattering factors, no anomalous dispersion.

The 12 most intense peaks (2θ = 10–90°), in order of rising 2θ:
h k l	d (Å)	2θ (°)	I/Imax
2 0 0	8.197	10.8	42
0 0 1	5.786	15.3	26
4 0 1	3.058	29.2	33
3 1 0	2.967	30.1	27
3 1 -1	2.770	32.3	100
6 0 0	2.732	32.8	35
6 0 -1	2.697	33.2	57
3 1 1	2.527	35.5	79
3 1 -2	2.199	41.0	32
1 1 2	2.171	41.6	32
9 1 -2	1.539	60.1	25
2 0 -4	1.478	62.9	30

Structural model:
a b c (Å): 16.761 3.533 5.916
angles (deg): 90.00 102.02 90.00
Space group C2/m (No. 12)
Unique sites:
Sm  0.123  0.000  0.323 (multiplicity 4)
Tm  0.067  0.500  0.794 (multiplicity 4)
Np  0.238  0.000  0.861 (multiplicity 4)

---

(4)
This entry pairs a crystal structure of NpHSeS with its simulated XRD peak list. Radiation: CuKα. Structure: a crystal structure in Alexandria, relaxed with GGA-PBE.
Neutral-atom scattering factors, no anomalous dispersion.

The 12 most intense peaks (2θ = 10–90°), in order of rising 2θ:
h k l	d (Å)	2θ (°)	I/Imax
0 0 1	6.763	13.1	99
1 0 0	3.295	27.1	32
1 0 1	2.962	30.2	100
0 1 2	2.360	38.1	70
1 1 0	1.902	47.8	26
0 1 3	1.860	49.0	25
1 1 1	1.831	49.8	22
0 2 1	1.601	57.6	17
2 0 2	1.481	62.7	17
1 1 4	1.264	75.2	13
2 1 1	1.225	78.0	14
1 2 2	1.169	82.6	16

Structural model:
a b c (Å): 3.8044 3.8044 6.7627
angles (deg): 90.00 90.00 120.00
Space group P3m1 (No. 156)
Unique sites:
Np  0.0000  0.0000  0.0000 (multiplicity 1)
H  0.3333  0.6667  0.0718 (multiplicity 1)
Se  0.3333  0.6667  0.7289 (multiplicity 1)
S  0.6667  0.3333  0.2180 (multiplicity 1)

---

(5)
This entry pairs a crystal structure of Th2Hg3Pd2 with its simulated XRD peak list. Radiation: CuKα. Structure: a crystal structure in Alexandria, relaxed with GGA-PBE.
Neutral-atom scattering factors, no anomalous dispersion.

The 12 most intense peaks (2θ = 10–90°), in order of rising 2θ:
h k l	d (Å)	2θ (°)	I/Imax
0 1 1	3.548	25.1	24
0 1 2	3.156	28.3	18
1 1 0	2.741	32.7	67
0 1 3	2.718	33.0	38
1 0 3	2.631	34.1	100
1 1 -3	2.391	37.6	70
2 0 -1	2.060	43.9	30
0 2 0	1.857	49.0	22
0 0 7	1.708	53.6	17
2 1 -4	1.642	56.0	17
1 2 3	1.517	61.1	38
2 2 -1	1.380	67.9	17

Structural model:
a b c (Å): 4.121 3.715 12.138
angles (deg): 90.00 99.78 90.00
Space group P2/m (No. 10)
Unique sites:
Th  0.079  0.000  0.163 (multiplicity 2)
Hg  0.208  0.500  0.415 (multiplicity 2)
Hg  0.500  0.500  0.000 (multiplicity 1)
Pd  0.373  0.500  0.744 (multiplicity 2)

---

(6)
This entry pairs a crystal structure of ZrZn7 with its simulated XRD peak list. Radiation: CuKα. Structure: a crystal structure in Alexandria, relaxed with GGA-PBE.
Neutral-atom scattering factors, no anomalous dispersion.

The 12 most intense peaks (2θ = 10–90°), in order of rising 2θ:
h k l	d (Å)	2θ (°)	I/Imax
1 1 1	2.758	32.5	1
0 0 3	2.348	38.3	1
1 1 2	2.282	39.5	100
2 0 0	2.119	42.7	41
0 0 4	1.761	51.9	10
2 0 3	1.573	58.7	1
2 2 0	1.498	61.9	13
2 0 4	1.354	69.4	17
1 1 5	1.275	74.4	1
3 1 2	1.253	76.0	26
2 2 4	1.141	85.0	9
1 1 6	1.093	89.7	8

Structural model:
a b c (Å): 4.238 4.238 7.045
angles (deg): 90.00 90.00 90.00
Space group P4/mmm (No. 123)
Unique sites:
Zr  0.000  0.000  0.000 (multiplicity 1)
Zn  0.000  0.000  0.500 (multiplicity 1)
Zn  0.000  0.500  0.265 (multiplicity 4)
Zn  0.500  0.500  0.000 (multiplicity 1)
Zn  0.500  0.500  0.500 (multiplicity 1)

---

(7)
This entry pairs a crystal structure of Nb4HOs2 with its simulated XRD peak list. Radiation: CuKα. Structure: a crystal structure in Alexandria, relaxed with GGA-PBE.
Neutral-atom scattering factors, no anomalous dispersion.

The 12 most intense peaks (2θ = 10–90°), in order of rising 2θ:
h k l	d (Å)	2θ (°)	I/Imax
1 0 1	3.773	23.6	33
1 1 0	2.766	32.4	45
1 1 2	2.580	34.8	84
0 0 6	2.389	37.6	34
1 0 5	2.312	38.9	27
1 1 4	2.190	41.2	100
2 0 0	1.956	46.4	67
1 0 7	1.814	50.3	32
2 0 6	1.513	61.2	33
2 1 7	1.330	70.8	23
1 0 11	1.237	77.1	23
3 1 4	1.169	82.5	27

Structural model:
a b c (Å): 3.911 3.911 14.335
angles (deg): 90.00 90.00 90.00
Space group I4/mmm (No. 139)
Unique sites:
Nb  0.000  0.000  0.183 (multiplicity 4)
Nb  0.000  0.500  0.000 (multiplicity 4)
H  0.000  0.000  0.000 (multiplicity 2)
Os  0.000  0.000  0.358 (multiplicity 4)

---

(8)
This entry pairs a crystal structure of TlOs2Au with its simulated XRD peak list. Radiation: CuKα. Structure: a crystal structure in Alexandria, relaxed with GGA-PBE.
Neutral-atom scattering factors, no anomalous dispersion.

The 12 most intense peaks (2θ = 10–90°), in order of rising 2θ:
h k l	d (Å)	2θ (°)	I/Imax
0 0 1	8.591	10.3	16
0 0 3	2.864	31.2	36
1 0 -2	2.591	34.6	28
0 1 2	2.394	37.6	100
1 0 2	2.219	40.7	69
0 0 4	2.148	42.1	22
1 1 0	2.032	44.6	80
1 1 -3	1.758	52.0	16
1 1 4	1.397	67.0	17
1 1 -5	1.395	67.1	17
2 1 -3	1.242	76.7	26
1 2 2	1.209	79.2	20

Structural model:
a b c (Å): 2.906 2.884 8.710
angles (deg): 90.00 99.48 90.00
Space group Pm (No. 6)
Unique sites:
Tl  0.000  0.000  0.000 (multiplicity 1)
Os  0.216  0.000  0.450 (multiplicity 1)
Os  0.625  0.500  0.267 (multiplicity 1)
Au  0.836  0.500  0.695 (multiplicity 1)

---

(9)
This entry pairs a crystal structure of Dy2CdTe4 with its simulated XRD peak list. Radiation: CuKα. Structure: a crystal structure in Alexandria, relaxed with GGA-PBE.
Neutral-atom scattering factors, no anomalous dispersion.

The 12 most intense peaks (2θ = 10–90°), in order of rising 2θ:
h k l	d (Å)	2θ (°)	I/Imax
1 1 1	7.301	12.1	17
2 2 0	4.471	19.9	10
3 1 1	3.813	23.3	54
4 0 0	3.161	28.2	75
5 1 1	2.434	36.9	31
4 4 0	2.235	40.3	100
4 4 4	1.825	50.0	20
5 5 3	1.646	55.8	13
8 0 0	1.581	58.4	16
8 4 0	1.414	66.1	25
8 4 4	1.291	73.4	32
8 8 0	1.118	87.2	10

Structural model:
a b c (Å): 12.645 12.645 12.645
angles (deg): 90.00 90.00 90.00
Space group Fd-3m (No. 227, origin choice 2)
Unique sites:
Dy  0.000  0.000  0.000 (multiplicity 16)
Cd  0.125  0.125  0.625 (multiplicity 8)
Te  0.006  0.006  0.244 (multiplicity 32)

---

(10)
This entry pairs a crystal structure of CaBeCu2Au5 with its simulated XRD peak list. Radiation: CuKα. Structure: a crystal structure in Alexandria, relaxed with GGA-PBE.
Neutral-atom scattering factors, no anomalous dispersion.

The 12 most intense peaks (2θ = 10–90°), in order of rising 2θ:
h k l	d (Å)	2θ (°)	I/Imax
0 1 1	5.243	16.9	19
1 1 0	3.540	25.2	18
0 0 4	3.307	27.0	16
1 0 3	3.153	28.3	100
1 2 1	2.374	37.9	81
1 0 5	2.282	39.5	16
2 0 0	2.255	40.0	41
0 0 6	2.205	40.9	20
0 2 4	2.161	41.8	48
1 2 3	2.117	42.7	36
2 2 4	1.560	59.2	35
1 2 7	1.488	62.4	29

Structural model:
a b c (Å): 4.510 5.711 13.229
angles (deg): 90.00 90.00 90.00
Space group Immm (No. 71)
Unique sites:
Ca  0.000  0.000  0.000 (multiplicity 2)
Be  0.000  0.000  0.500 (multiplicity 2)
Cu  0.000  0.500  0.192 (multiplicity 4)
Au  0.000  0.254  0.356 (multiplicity 8)
Au  0.000  0.500  0.000 (multiplicity 2)

---

(11)
This entry pairs a crystal structure of PrY2Te4 with its simulated XRD peak list. Radiation: CuKα. Structure: a crystal structure in Alexandria, relaxed with GGA-PBE.
Neutral-atom scattering factors, no anomalous dispersion.

The 12 most intense peaks (2θ = 10–90°), in order of rising 2θ:
h k l	d (Å)	2θ (°)	I/Imax
2 2 0	3.136	28.5	100
0 0 4	3.090	28.9	48
0 4 0	2.235	40.4	19
4 0 0	2.201	41.0	92
0 4 4	1.811	50.4	20
4 0 4	1.792	50.9	19
4 4 0	1.568	58.9	12
4 4 4	1.398	66.9	17
2 2 8	1.386	67.6	16
2 6 4	1.284	73.8	13
6 2 4	1.271	74.7	18
8 0 0	1.100	88.9	10

Structural model:
a b c (Å): 8.802 8.940 12.360
angles (deg): 90.00 90.00 90.00
Space group Imma (No. 74)
Unique sites:
Pr  0.000  0.000  0.000 (multiplicity 4)
Y  0.000  0.000  0.500 (multiplicity 4)
Y  0.250  0.250  0.250 (multiplicity 4)
Te  0.000  0.004  0.254 (multiplicity 8)
Te  0.242  0.250  0.505 (multiplicity 8)

---

(12)
This entry pairs a crystal structure of Pm6Bi3H with its simulated XRD peak list. Radiation: CuKα. Structure: a crystal structure in Alexandria, relaxed with GGA-PBE.
Neutral-atom scattering factors, no anomalous dispersion.

The 12 most intense peaks (2θ = 10–90°), in order of rising 2θ:
h k l	d (Å)	2θ (°)	I/Imax
1 3 1	3.838	23.2	32
3 1 1	3.331	26.8	18
1 1 2	3.036	29.4	49
2 4 1	2.927	30.5	34
3 3 1	2.856	31.3	100
0 6 0	2.617	34.3	21
4 2 1	2.580	34.8	30
0 4 2	2.478	36.3	38
4 4 1	2.242	40.2	14
0 4 3	1.875	48.6	14
3 1 3	1.872	48.6	13
6 6 0	1.595	57.8	14

Structural model:
a b c (Å): 12.082 15.701 6.400
angles (deg): 90.00 90.00 90.00
Space group Cmc2_1 (No. 36)
Unique sites:
Pm  0.000  0.083  0.000 (multiplicity 4)
Pm  0.000  0.279  0.741 (multiplicity 4)
Pm  0.181  0.274  0.217 (multiplicity 8)
Pm  0.193  0.450  0.649 (multiplicity 8)
Bi  0.000  0.415  0.310 (multiplicity 4)
Bi  0.137  0.104  0.511 (multiplicity 8)
H  0.000  0.225  0.079 (multiplicity 4)